Entry 1:
For MgZn2Co2O6, the GGA+U geometry in the Materials Project gives the computed X-ray powder pattern in this record (Cu Kα (λ = 1.5418 Å)).

Crystal structure
```
data_MgZn2Co2O6
_chemical_formula_sum 'Mg1 Zn2 Co2 O6'
_cell_length_a 5.141
_cell_length_b 5.233
_cell_length_c 5.725
_cell_angle_alpha 65.70
_cell_angle_beta 65.18
_cell_angle_gamma 60.81
_symmetry_space_group_name_H-M 'P 1'
_symmetry_Int_Tables_number 1
_symmetry_space_group_name_Hall 'P 1'
loop_
_atom_site_label
_atom_site_type_symbol
_atom_site_fract_x
_atom_site_fract_y
_atom_site_fract_z
Mg1 Mg 0.000 0.000 0.000
Zn1 Zn 0.391 0.400 0.812
Zn2 Zn 0.609 0.600 0.188
Co1 Co 0.179 0.189 0.458
Co2 Co 0.821 0.811 0.542
O1 O 0.052 0.788 0.738
O2 O 0.212 0.590 0.257
O3 O 0.396 0.070 0.732
O4 O 0.604 0.930 0.268
O5 O 0.788 0.410 0.743
O6 O 0.948 0.212 0.262
```

Largest 10 diffraction maxima, in order of rising 2θ, 5° ≤ 2θ ≤ 70°:
2θ/deg  Rel. int.  h k l
34.16  98.1  1 -1 0
34.32  94.2  1 2 1
34.93  83.4  2 1 1
35.21  100.0  1 1 -1
36.13  86.6  1 0 2
36.29  87.1  0 1 2
49.29  48.9  0 2 -1
50.44  41.3  2 0 -1
52.05  36.9  2 2 3
62.34  51.5  3 3 2

***

Entry 2:
For ZnCrPO5, the GGA+U geometry in the Materials Project gives the computed X-ray powder pattern in this record (Cu Kα (λ = 1.5418 Å)).

Crystal structure
```
data_ZnCrPO5
_chemical_formula_sum 'Zn2 Cr2 P2 O10'
_cell_length_a 5.441
_cell_length_b 5.444
_cell_length_c 7.255
_cell_angle_alpha 108.46
_cell_angle_beta 108.44
_cell_angle_gamma 95.57
_symmetry_space_group_name_H-M 'P 1'
_symmetry_Int_Tables_number 1
_symmetry_space_group_name_Hall 'P 1'
loop_
_atom_site_label
_atom_site_type_symbol
_atom_site_fract_x
_atom_site_fract_y
_atom_site_fract_z
Zn1 Zn 0.000 0.000 0.000
Zn2 Zn 0.372 0.635 0.501
Cr1 Cr 0.679 0.310 0.736
Cr2 Cr 0.679 0.311 0.236
P1 P 0.027 0.958 0.485
P2 P 0.328 0.659 0.985
O1 O 0.018 0.607 0.875
O2 O 0.337 0.017 0.600
O3 O 0.384 0.970 0.099
O4 O 0.404 0.519 0.142
O5 O 0.466 0.587 0.825
O6 O 0.591 0.396 0.486
O7 O 0.765 0.223 0.986
O8 O 0.884 0.033 0.640
O9 O 0.953 0.094 0.323
O10 O 0.977 0.648 0.376
```

Largest 10 diffraction maxima, in order of rising 2θ, 5° ≤ 2θ ≤ 70°:
2θ/deg  Rel. int.  h k l
17.96  15.0  1 0 -1
26.96  92.6  0 1 -2
27.65  100.0  1 1 0
35.83  21.3  1 -1 2
36.21  50.3  1 -2 0
39.35  14.0  0 1 -3
50.33  18.1  1 1 -4
53.98  13.5  2 0 2
54.66  23.5  0 3 0
63.13  17.4  2 -3 2

***

Entry 3:
For BaCrF5, the GGA+U geometry in the Materials Project gives the computed X-ray powder pattern in this record (Cu Kα (λ = 1.5418 Å)).

Crystal structure
```
data_BaCrF5
_chemical_formula_sum 'Ba4 Cr4 F20'
_cell_length_a 5.068
_cell_length_b 5.821
_cell_length_c 14.204
_cell_angle_alpha 90.00
_cell_angle_beta 90.00
_cell_angle_gamma 90.00
_symmetry_space_group_name_H-M 'P 1'
_symmetry_Int_Tables_number 1
_symmetry_space_group_name_Hall 'P 1'
loop_
_atom_site_label
_atom_site_type_symbol
_atom_site_fract_x
_atom_site_fract_y
_atom_site_fract_z
Ba1 Ba 0.235 0.161 0.157
Ba2 Ba 0.265 0.839 0.657
Ba3 Ba 0.735 0.339 0.843
Ba4 Ba 0.765 0.661 0.343
Cr1 Cr 0.176 0.148 0.415
Cr2 Cr 0.324 0.852 0.915
Cr3 Cr 0.676 0.352 0.585
Cr4 Cr 0.824 0.648 0.085
F1 F 0.018 0.867 0.003
F2 F 0.032 0.893 0.484
F3 F 0.119 0.650 0.170
F4 F 0.162 0.065 0.828
F5 F 0.194 0.596 0.841
F6 F 0.306 0.404 0.341
F7 F 0.338 0.935 0.328
F8 F 0.381 0.350 0.670
F9 F 0.468 0.107 0.984
F10 F 0.482 0.133 0.503
F11 F 0.518 0.633 0.997
F12 F 0.532 0.607 0.516
F13 F 0.619 0.850 0.830
F14 F 0.662 0.435 0.172
F15 F 0.694 0.904 0.159
F16 F 0.806 0.096 0.659
F17 F 0.838 0.565 0.672
F18 F 0.881 0.150 0.330
F19 F 0.968 0.393 0.016
F20 F 0.982 0.367 0.497
```

Largest 10 diffraction maxima, in order of rising 2θ, 5° ≤ 2θ ≤ 70°:
2θ/deg  Rel. int.  h k l
23.27  43.8  1 1 0
24.11  100.0  1 1 1
24.23  36.1  0 1 3
25.08  24.5  0 0 4
30.74  37.8  1 0 4
31.37  27.6  0 2 1
39.52  19.0  1 1 5
40.50  52.7  1 2 3
43.38  20.3  2 1 3
43.89  20.3  2 0 4

***

Entry 4:
For CoSbP2O8, the GGA+U geometry in the Materials Project gives the computed X-ray powder pattern in this record (Cu Kα (λ = 1.5418 Å)).

Crystal structure
```
data_CoSbP2O8
_chemical_formula_sum 'Co4 Sb4 P8 O32'
_cell_length_a 6.067
_cell_length_b 10.199
_cell_length_c 11.246
_cell_angle_alpha 115.62
_cell_angle_beta 90.06
_cell_angle_gamma 90.02
_symmetry_space_group_name_H-M 'P 1'
_symmetry_Int_Tables_number 1
_symmetry_space_group_name_Hall 'P 1'
loop_
_atom_site_label
_atom_site_type_symbol
_atom_site_fract_x
_atom_site_fract_y
_atom_site_fract_z
Co1 Co 0.000 0.000 0.000
Co2 Co 0.000 0.478 0.966
Co3 Co 0.500 0.620 0.404
Co4 Co 0.502 0.151 0.443
Sb1 Sb 0.000 0.931 0.482
Sb2 Sb 0.499 0.708 0.933
Sb3 Sb 0.500 0.198 0.923
Sb4 Sb 0.997 0.436 0.488
P1 P 0.000 0.172 0.801
P2 P 0.000 0.575 0.294
P3 P 0.000 0.675 0.806
P4 P 0.001 0.055 0.302
P5 P 0.499 0.465 0.610
P6 P 0.499 0.579 0.110
P7 P 0.500 0.067 0.119
P8 P 0.500 0.962 0.607
O1 O 0.000 0.742 0.325
O2 O 0.002 0.953 0.157
O3 O 0.003 0.656 0.665
O4 O 0.004 0.490 0.146
O5 O 0.195 0.020 0.383
O6 O 0.198 0.540 0.365
O7 O 0.200 0.278 0.857
O8 O 0.205 0.777 0.884
O9 O 0.290 0.863 0.531
O10 O 0.296 0.361 0.553
O11 O 0.299 0.101 0.050
O12 O 0.305 0.617 0.031
O13 O 0.495 0.526 0.766
O14 O 0.498 0.153 0.267
O15 O 0.498 0.678 0.256
O16 O 0.500 0.106 0.598
O17 O 0.500 0.419 0.081
O18 O 0.501 0.899 0.089
O19 O 0.501 0.977 0.747
O20 O 0.507 0.589 0.570
O21 O 0.694 0.618 0.031
O22 O 0.695 0.356 0.558
O23 O 0.701 0.102 0.052
O24 O 0.708 0.863 0.530
O25 O 0.792 0.776 0.882
O26 O 0.799 0.539 0.361
O27 O 0.801 0.279 0.857
O28 O 0.805 0.018 0.381
O29 O 0.998 0.534 0.819
O30 O 0.999 0.045 0.837
O31 O 0.999 0.117 0.645
O32 O 0.999 0.215 0.329
```

Largest 10 diffraction maxima, in order of rising 2θ, 5° ≤ 2θ ≤ 70°:
2θ/deg  Rel. int.  h k l
17.03  27.2  1 0 1
17.48  100.0  0 0 2
19.67  36.3  0 2 -2
24.29  64.3  1 -2 0
24.47  31.8  0 2 1
24.59  69.6  1 2 -2
29.44  74.3  2 0 0
34.80  50.4  -1 2 2
35.44  54.9  1 -2 4
46.56  27.1  2 -4 2